(1)
Starting from a crystal structure in Alexandria, relaxed with GGA-PBE, the powder XRD pattern of NdZr3N4 was simulated for Cu Kα.
Lines closer than 0.1° are merged.

Crystal structure
Unit cell a=3.3265 b=3.3265 c=22.1378 alpha=90.00 beta=90.00 gamma=120.00
Space group P6_3/mmc (No. 194)
One atom of each set of equivalent atoms:
Nd (0.3333, 0.6667, 0.2500) (multiplicity 2)
Zr (0.0000, 0.0000, 0.0000) (multiplicity 2)
Zr (0.3333, 0.6667, 0.6193) (multiplicity 4)
N (0.0000, 0.0000, 0.1746) (multiplicity 4)
N (0.3333, 0.6667, 0.0592) (multiplicity 4)

Most intense lines, 5° ≤ 2θ ≤ 70°, by intensity:
- 2θ 33.39, intensity 100, hkl 1 0 3
- 2θ 37.24, intensity 81, hkl 1 0 5
- 2θ 39.69, intensity 56, hkl 1 0 6
- 2θ 55.23, intensity 48, hkl 1 1 0
- 2θ 32.35, intensity 47, hkl 0 0 8
- 2θ 65.47, intensity 38, hkl 1 1 8
- 2θ 32.11, intensity 37, hkl 1 0 2
- 2θ 55.72, intensity 36, hkl 1 0 11
- 2θ 35.12, intensity 18, hkl 1 0 4
- 2θ 66.09, intensity 14, hkl 2 0 3
- 2θ 68.50, intensity 13, hkl 2 0 5
- 2θ 52.10, intensity 11, hkl 1 0 10

---

(2)
Starting from a crystal structure in Alexandria, relaxed with GGA-PBE, the powder XRD pattern of NpNi3N4 was simulated for Cu Kα.
Lines closer than 0.1° are merged.

Crystal structure
Unit cell a=5.410 b=5.410 c=5.410 alpha=90.00 beta=90.00 gamma=90.00
Space group Pm-3n (No. 223)
One atom of each set of equivalent atoms:
Np (0.000, 0.000, 0.000) (multiplicity 2)
Ni (0.000, 0.250, 0.500) (multiplicity 6)
N (0.250, 0.250, 0.250) (multiplicity 8)

Most intense lines, 5° ≤ 2θ ≤ 70°, by intensity:
- 2θ 40.85, intensity 100, hkl 2 1 1
- 2θ 23.25, intensity 65, hkl 1 1 0
- 2θ 64.44, intensity 52, hkl 3 2 1
- 2θ 33.11, intensity 29, hkl 2 0 0
- 2θ 37.16, intensity 25, hkl 2 1 0
- 2θ 47.53, intensity 17, hkl 2 2 0
- 2θ 53.56, intensity 15, hkl 3 1 0
- 2θ 69.49, intensity 12, hkl 4 0 0
- 2θ 61.83, intensity 5, hkl 3 2 0